(1)
This entry pairs a crystal structure of PmHo6Se8 with its calculated powder diffraction line list. Radiation: CuKα. Structure: a cell relaxed with PBE.

Most intense lines, 10° ≤ 2θ ≤ 90°, by angle:
15.5°, I = 5; 25.8°, I = 5; 27.0°, I = 15; 31.2°, I = 100; 44.8°, I = 74; 53.0°, I = 8; 55.6°, I = 26; 65.2°, I = 12; 74.0°, I = 33; 82.5°, I = 25

Structural model:
a b c (Å): 8.099 8.099 8.099
angles (deg): 60.00 60.00 60.00
Fractional positions:
Pm (0.000, 0.000, 0.000)
Ho (0.000, 0.000, 0.500)
Ho (0.000, 0.500, 0.000)
Ho (0.000, 0.500, 0.500)
Ho (0.500, 0.000, 0.000)
Ho (0.500, 0.000, 0.500)
Ho (0.500, 0.500, 0.000)
Se (0.250, 0.250, 0.250)
Se (0.259, 0.259, 0.741)
Se (0.259, 0.741, 0.259)
Se (0.259, 0.741, 0.741)
Se (0.741, 0.259, 0.259)
Se (0.741, 0.259, 0.741)
Se (0.741, 0.741, 0.259)
Se (0.750, 0.750, 0.750)



(2)
This entry pairs a crystal structure of Pm3Sm2HoSe6 with its calculated powder diffraction line list. Radiation: CuKα. Structure: a cell relaxed with PBE.

Most intense lines, 10° ≤ 2θ ≤ 90°, by angle:
26.1°, I = 9; 26.3°, I = 9; 30.3°, I = 100; 43.2°, I = 13; 43.5°, I = 49; 43.7°, I = 12; 54.1°, I = 13; 71.6°, I = 11; 71.7°, I = 11; 80.0°, I = 8

Structural model:
a b c (Å): 9.310 9.310 8.381
angles (deg): 103.13 103.13 25.74
Fractional positions:
Pm (0.000, 0.000, 0.000)
Pm (0.331, 0.331, 0.667)
Pm (0.669, 0.669, 0.333)
Sm (0.332, 0.332, 0.165)
Sm (0.668, 0.668, 0.835)
Ho (0.000, 0.000, 0.500)
Se (0.162, 0.162, 0.582)
Se (0.166, 0.166, 0.082)
Se (0.500, 0.500, 0.259)
Se (0.500, 0.500, 0.741)
Se (0.834, 0.834, 0.918)
Se (0.838, 0.838, 0.418)



Which formula does entry 2 have? Pm3Sm2HoSe6